The following is a calculated X-ray diffraction stick pattern of Mg2CoSeO6. It was derived from a structure optimized by DFT (GGA+U), using copper Kα.
Peak positions follow from Bragg's law for the DFT cell and can differ from measured ones.

Unit cell a=5.297 b=5.297 c=4.682 alpha=90.00 beta=90.00 gamma=90.00
Space group P4mm (No. 99)
Unique sites:
Mg1 0.000 0.500 0.000 (multiplicity 2)
Co1 0.000 0.000 0.651 (multiplicity 1)
Se1 0.500 0.500 0.706 (multiplicity 1)
O1 0.000 0.000 0.284 (multiplicity 1)
O2 0.252 0.252 0.820 (multiplicity 4)
O3 0.500 0.500 0.347 (multiplicity 1)

Largest 12 diffraction maxima, low angle first, 2θ from 10° to 90°:
- (0 0 1), 2θ = 19.0°, I 88
- (1 1 0), 2θ = 23.8°, I 62
- (1 1 1), 2θ = 30.6°, I 100
- (2 0 0), 2θ = 33.8°, I 40
- (1 1 2), 2θ = 45.7°, I 41
- (2 2 0), 2θ = 48.6°, I 43
- (2 0 2), 2θ = 52.1°, I 14
- (2 2 1), 2θ = 52.6°, I 20
- (3 1 1), 2θ = 58.5°, I 30
- (3 1 2), 2θ = 68.9°, I 23
- (2 0 3), 2θ = 70.0°, I 20
- (4 0 0), 2θ = 71.2°, I 12

***

The following is a calculated X-ray diffraction stick pattern of Mg6CoSiO8. It was derived from a structure optimized by DFT (GGA+U), using copper Kα.
Peak positions follow from Bragg's law for the DFT cell and can differ from measured ones.

Unit cell a=4.269 b=4.269 c=8.633 alpha=90.00 beta=90.00 gamma=90.00
Space group P4/mmm (No. 123)
Unique sites:
Mg1 0.000 0.000 0.000 (multiplicity 1)
Mg2 0.000 0.500 0.250 (multiplicity 4)
Mg3 0.500 0.500 0.000 (multiplicity 1)
Co1 0.000 0.000 0.500 (multiplicity 1)
Si1 0.500 0.500 0.500 (multiplicity 1)
O1 0.000 0.000 0.240 (multiplicity 2)
O2 0.000 0.500 0.000 (multiplicity 2)
O3 0.000 0.500 0.500 (multiplicity 2)
O4 0.500 0.500 0.253 (multiplicity 2)

Largest 12 diffraction maxima, low angle first, 2θ from 10° to 90°:
- (0 0 1), 2θ = 10.2°, I 17
- (1 0 0), 2θ = 20.8°, I 5
- (1 0 1), 2θ = 23.2°, I 7
- (1 1 1), 2θ = 31.4°, I 5
- (1 1 2), 2θ = 36.3°, I 29
- (0 0 4), 2θ = 41.9°, I 52
- (2 0 0), 2θ = 42.3°, I 100
- (2 0 4), 2θ = 61.1°, I 58
- (2 2 0), 2θ = 61.4°, I 28
- (1 1 6), 2θ = 72.8°, I 6
- (3 1 2), 2θ = 73.5°, I 11
- (2 2 4), 2θ = 77.1°, I 26